The following is a computed PXRD pattern of BaFeSi4O10. It was derived from the PBE+U geometry in Alexandria, using Cu Kα (weighted mean of Kα1 and Kα2).
No peak broadening, texture or thermal motion is included.

Structure:
Lattice parameters (Å, degrees): 7.697 7.697 8.057 90.00 90.00 90.00
Fractional coordinates of all 32 atoms:
Ba 0.250 0.750 0.000
Ba 0.750 0.250 0.000
Fe 0.250 0.250 0.181
Fe 0.750 0.750 0.819
Si 0.042 0.042 0.693
Si 0.042 0.458 0.693
Si 0.458 0.042 0.693
Si 0.458 0.458 0.693
Si 0.542 0.542 0.307
Si 0.542 0.958 0.307
Si 0.958 0.542 0.307
Si 0.958 0.958 0.307
O 0.000 0.000 0.500
O 0.000 0.500 0.500
O 0.003 0.250 0.727
O 0.066 0.066 0.173
O 0.066 0.434 0.173
O 0.250 0.003 0.727
O 0.250 0.497 0.727
O 0.434 0.066 0.173
O 0.434 0.434 0.173
O 0.497 0.250 0.727
O 0.500 0.000 0.500
O 0.500 0.500 0.500
O 0.503 0.750 0.273
O 0.566 0.566 0.827
O 0.566 0.934 0.827
O 0.750 0.503 0.273
O 0.750 0.997 0.273
O 0.934 0.566 0.827
O 0.934 0.934 0.827
O 0.997 0.750 0.273

Main lines, low angle first (2θ = 10–90°):
| 2θ/deg | I (rel.) |
| --- | --- |
| 10.98 | 410 |
| 19.68 | 482 |
| 24.95 | 257 |
| 25.65 | 1000 |
| 27.55 | 671 |
| 28.19 | 347 |
| 32.17 | 340 |
| 32.91 | 466 |
| 37.34 | 322 |
| 47.24 | 241 |
| 50.61 | 246 |
| 54.52 | 235 |